1.
This entry pairs a crystal structure of SmErAgRh with its simulated X-ray powder pattern. Radiation: Cu Kα, 1.54184 Å. Structure: the GGA-PBE geometry in Alexandria.
Peak positions follow from Bragg's law for the DFT cell and can differ from measured ones.

Top 12 peaks for 2θ = 10–80°, low angle first:
| h k l | 2θ/deg | I (rel.) |
| --- | --- | --- |
| 0 0 1 | 12.24 | 3 |
| 1 0 0 | 25.26 | 4 |
| 1 0 2 | 35.56 | 100 |
| 1 1 0 | 36.02 | 51 |
| 1 0 3 | 45.58 | 3 |
| 0 0 4 | 50.47 | 8 |
| 2 0 0 | 51.86 | 18 |
| 1 1 4 | 63.56 | 15 |
| 2 1 2 | 64.46 | 35 |
| 1 0 5 | 70.34 | 2 |
| 2 0 4 | 75.28 | 9 |
| 2 2 0 | 76.40 | 6 |

Structural model:
Cell lengths 3.5259, 3.5259, 7.2330 Å; angles 90.00, 90.00, 90.00 degrees
Fractional positions:
1 Sm 0.0000 0.0000 0.0000
2 Er 0.0000 0.0000 0.5416
3 Ag 0.5000 0.5000 0.2865
4 Rh 0.5000 0.5000 0.7596

---

2.
This entry pairs a crystal structure of La3Sm7Tm with its simulated X-ray powder pattern. Radiation: Cu Kα, 1.54184 Å. Structure: the GGA-PBE geometry in Alexandria.
Peak positions follow from Bragg's law for the DFT cell and can differ from measured ones.

Top 12 peaks for 2θ = 10–80°, low angle first:
| h k l | 2θ/deg | I (rel.) |
| --- | --- | --- |
| 0 2 -2 | 30.56 | 38 |
| 1 2 -1 | 30.94 | 90 |
| 2 0 1 | 31.11 | 43 |
| -1 2 1 | 31.28 | 100 |
| 2 -1 1 | 31.47 | 90 |
| 0 1 -3 | 31.63 | 53 |
| 2 0 -2 | 31.68 | 85 |
| 1 0 -3 | 32.14 | 22 |
| 1 1 2 | 32.73 | 46 |
| 1 -2 2 | 33.55 | 45 |
| 3 -2 0 | 46.81 | 23 |
| 0 4 0 | 54.98 | 20 |

Structural model:
Cell lengths 6.6222, 6.8546, 8.8026 Å; angles 100.33, 98.46, 96.12 degrees
Fractional positions:
1 La 0.0000 0.0000 0.0000
2 La 0.1827 0.5609 0.1724
3 La 0.8173 0.4391 0.8276
4 Sm 0.0113 0.7717 0.5754
5 Sm 0.2944 0.2708 0.7911
6 Sm 0.4324 0.7878 0.8529
7 Sm 0.5000 0.5000 0.5000
8 Sm 0.5676 0.2122 0.1471
9 Sm 0.7056 0.7292 0.2089
10 Sm 0.9887 0.2283 0.4246
11 Tm 0.5000 0.0000 0.5000

---

3.
This entry pairs a crystal structure of TiBiSe3 with its simulated X-ray powder pattern. Radiation: Cu Kα, 1.54184 Å. Structure: the GGA-PBE geometry in Alexandria.
Peak positions follow from Bragg's law for the DFT cell and can differ from measured ones.

Top 12 peaks for 2θ = 10–80°, low angle first:
| h k l | 2θ/deg | I (rel.) |
| --- | --- | --- |
| 0 0 1 | 12.78 | 75 |
| 0 1 0 | 15.00 | 43 |
| 0 1 1 | 15.91 | 67 |
| 0 1 -1 | 22.98 | 27 |
| 0 0 2 | 25.72 | 60 |
| 1 0 0 | 26.32 | 100 |
| 0 2 1 | 28.36 | 71 |
| 0 1 -2 | 34.33 | 35 |
| 1 0 2 | 37.02 | 46 |
| 1 0 -2 | 37.27 | 30 |
| -1 2 1 | 39.57 | 31 |
| 0 2 3 | 40.15 | 31 |

Structural model:
Cell lengths 3.3872, 6.3155, 7.4079 Å; angles 69.28, 89.12, 88.63 degrees
Fractional positions:
1 Ti 0.0000 0.0000 0.0000
2 Bi 0.4553 0.3898 0.3460
3 Se 0.4586 0.2716 0.7791
4 Se 0.4718 0.9843 0.2747
5 Se 0.4910 0.7092 0.9630

---

4.
This entry pairs a crystal structure of Dy3ThSc4 with its simulated X-ray powder pattern. Radiation: Cu Kα, 1.54184 Å. Structure: the GGA-PBE geometry in Alexandria.
Peak positions follow from Bragg's law for the DFT cell and can differ from measured ones.

Top 12 peaks for 2θ = 10–80°, low angle first:
| h k l | 2θ/deg | I (rel.) |
| --- | --- | --- |
| 0 1 0 | 12.80 | 31 |
| 0 1 1 | 19.63 | 8 |
| 2 1 1 | 25.58 | 31 |
| 0 0 2 | 29.86 | 24 |
| 4 0 0 | 32.83 | 25 |
| 2 2 1 | 34.18 | 100 |
| 4 0 2 | 44.97 | 16 |
| 0 4 0 | 52.94 | 11 |
| 0 2 3 | 53.02 | 12 |
| 6 2 1 | 59.48 | 20 |
| 4 2 3 | 63.79 | 14 |
| 2 0 4 | 64.60 | 15 |

Structural model:
Cell lengths 10.9110, 6.9141, 5.9809 Å; angles 90.00, 90.00, 90.00 degrees
Fractional positions:
1 Dy 0.0000 0.1307 0.0000
2 Dy 0.2483 0.1328 0.3482
3 Dy 0.2517 0.8672 0.8482
4 Dy 0.5000 0.8693 0.5000
5 Dy 0.7483 0.8672 0.8482
6 Dy 0.7517 0.1328 0.3482
7 Th 0.0000 0.8630 0.5059
8 Th 0.5000 0.1370 0.0059
9 Sc 0.0000 0.3848 0.5105
10 Sc 0.0000 0.6177 0.0160
11 Sc 0.2497 0.3817 0.8446
12 Sc 0.2503 0.6183 0.3446
13 Sc 0.5000 0.3823 0.5160
14 Sc 0.5000 0.6152 0.0105
15 Sc 0.7503 0.3817 0.8446
16 Sc 0.7497 0.6183 0.3446

---

5.
This entry pairs a crystal structure of TaFeCo4 with its simulated X-ray powder pattern. Radiation: Cu Kα, 1.54184 Å. Structure: the GGA-PBE geometry in Alexandria.
Peak positions follow from Bragg's law for the DFT cell and can differ from measured ones.

Top 12 peaks for 2θ = 10–80°, low angle first:
| h k l | 2θ/deg | I (rel.) |
| --- | --- | --- |
| 1 0 1 | 19.85 | 20 |
| 2 0 0 | 26.64 | 17 |
| 1 1 1 | 31.55 | 25 |
| 2 1 0 | 36.35 | 43 |
| 2 1 1 | 39.42 | 100 |
| 1 1 2 | 41.10 | 67 |
| 3 0 1 | 43.25 | 20 |
| 0 0 3 | 45.23 | 35 |
| 2 1 2 | 47.62 | 76 |
| 0 2 0 | 49.74 | 42 |
| 4 0 0 | 54.87 | 23 |
| 0 2 3 | 69.48 | 18 |

Structural model:
Cell lengths 6.6930, 3.6659, 6.0150 Å; angles 90.00, 90.00, 90.00 degrees
Fractional positions:
1 Ta 0.2500 0.0000 0.1505
2 Ta 0.7500 0.0000 0.8495
3 Fe 0.2500 0.0000 0.7472
4 Fe 0.7500 0.0000 0.2528
5 Co 0.0000 0.0000 0.5000
6 Co 0.0431 0.5000 0.8103
7 Co 0.2500 0.5000 0.4520
8 Co 0.4569 0.5000 0.8103
9 Co 0.5000 0.0000 0.5000
10 Co 0.5431 0.5000 0.1897
11 Co 0.7500 0.5000 0.5480
12 Co 0.9569 0.5000 0.1897

---

6.
This entry pairs a crystal structure of Tb8CSe6 with its simulated X-ray powder pattern. Radiation: Cu Kα, 1.54184 Å. Structure: the GGA-PBE geometry in Alexandria.
Peak positions follow from Bragg's law for the DFT cell and can differ from measured ones.

Top 12 peaks for 2θ = 10–80°, low angle first:
| h k l | 2θ/deg | I (rel.) |
| --- | --- | --- |
| 0 0 1 | 15.13 | 13 |
| 1 1 1 | 26.04 | 24 |
| 0 0 2 | 30.54 | 20 |
| 2 1 0 | 32.43 | 23 |
| 1 0 2 | 32.96 | 13 |
| 3 -1 1 | 35.97 | 100 |
| 3 0 0 | 36.92 | 22 |
| 1 1 2 | 37.40 | 40 |
| 2 2 2 | 53.57 | 11 |
| 3 2 1 | 57.18 | 14 |
| 2 1 3 | 57.86 | 31 |
| 4 0 2 | 59.68 | 14 |

Structural model:
Cell lengths 8.4334, 8.4334, 5.8551 Å; angles 90.00, 90.00, 120.00 degrees
Fractional positions:
1 Tb 0.0000 0.2423 0.2567
2 Tb 0.0000 0.7577 0.7433
3 Tb 0.2423 0.0000 0.2567
4 Tb 0.2423 0.2423 0.7433
5 Tb 0.3333 0.6667 0.5000
6 Tb 0.6667 0.3333 0.5000
7 Tb 0.7577 0.0000 0.7433
8 Tb 0.7577 0.7577 0.2567
9 C 0.0000 0.0000 0.5000
10 Se 0.0000 0.3926 0.7479
11 Se 0.0000 0.6074 0.2521
12 Se 0.3926 0.0000 0.7479
13 Se 0.3926 0.3926 0.2521
14 Se 0.6074 0.0000 0.2521
15 Se 0.6074 0.6074 0.7479